# Li3TiMn2O6
Computed X-ray powder pattern, Cu Kα. Input: a PBE+U-relaxed structure.
Intensities are scaled so that the largest is 1000.

```
Li3TiMn2O6
1.0
8.169 -1.474 0.000
8.169 1.474 0.000
-6.588 0.000 9.914
Li Ti Mn O
6 2 4 12
Cartesian
0.000 0.000 0.000
-3.290 0.000 4.958
5.580 0.000 0.017
2.305 0.000 5.013
7.461 0.000 4.904
4.185 0.000 9.907
-1.571 0.000 2.567
11.338 0.000 7.352
3.764 0.000 2.459
0.425 0.000 7.480
9.338 0.000 2.442
6.004 0.000 7.470
0.000 0.000 3.596
-3.105 0.000 8.417
-1.477 0.000 6.300
1.975 0.000 1.210
7.200 0.000 1.377
3.974 0.000 6.265
5.797 0.000 3.657
2.571 0.000 8.544
7.802 0.000 8.723
11.247 0.000 3.631
12.876 0.000 1.514
9.767 0.000 6.328
```

Principal peaks in the range 10° ≤ 2θ ≤ 90°, by angle:
- 2θ 17.89, I 1000
- 2θ 33.12, I 157
- 2θ 35.35, I 267
- 2θ 39.75, I 328
- 2θ 43.19, I 527
- 2θ 59.94, I 156